[1]
Diffraction record for SmZn3CuNi. The powder X-ray diffraction pattern is theoretical, not measured: it uses DFT lattice parameters and positions (GGA-PBE) and Cu Kα (weighted mean of Kα1 and Kα2).
Neutral-atom scattering factors, no anomalous dispersion.

Top 8 peaks for 10° ≤ 2θ ≤ 80°, by intensity:
2θ = 41.1°, d = 2.198 Å, rel. 100, hkl 1 1 1
2θ = 29.3°, d = 3.052 Å, rel. 47, hkl 1 0 1
2θ = 40.3°, d = 2.240 Å, rel. 37, hkl 2 0 0
2θ = 34.7°, d = 2.586 Å, rel. 29, hkl 1 1 0
2θ = 43.4°, d = 2.085 Å, rel. 28, hkl 0 0 2
2θ = 66.5°, d = 1.406 Å, rel. 23, hkl 3 0 1
2θ = 60.7°, d = 1.526 Å, rel. 22, hkl 2 0 2
2θ = 73.2°, d = 1.293 Å, rel. 16, hkl 2 2 0

Cell and atoms:
```
data_SmZn3CuNi
_symmetry_space_group_name_H-M 'P -6 m 2'
_symmetry_Int_Tables_number 187
_symmetry_space_group_name_Hall 'P -6 2'
_cell_length_a 5.1727
_cell_length_b 5.1727
_cell_length_c 4.1692
_cell_angle_alpha 90.00
_cell_angle_beta 90.00
_cell_angle_gamma 120.00
loop_
_atom_site_label
_atom_site_fract_x
_atom_site_fract_y
_atom_site_fract_z
Sm1 0.0000 0.0000 0.0000
Zn1 0.5011 0.0022 0.5000
Cu1 0.3333 0.6667 0.0000
Ni1 0.6667 0.3333 0.0000
```


[2]
Diffraction record for TaCu2Ni. The powder X-ray diffraction pattern is theoretical, not measured: it uses DFT lattice parameters and positions (GGA-PBE) and Cu Kα (weighted mean of Kα1 and Kα2).
Neutral-atom scattering factors, no anomalous dispersion.

Top 8 peaks for 10° ≤ 2θ ≤ 80°, by intensity:
2θ = 45.0°, d = 2.014 Å, rel. 100, hkl 1 2 1
2θ = 44.9°, d = 2.020 Å, rel. 78, hkl 1 0 2
2θ = 41.9°, d = 2.158 Å, rel. 51, hkl 2 0 0
2θ = 39.6°, d = 2.277 Å, rel. 46, hkl 0 2 1
2θ = 59.0°, d = 1.567 Å, rel. 28, hkl 2 2 1
2θ = 26.7°, d = 3.335 Å, rel. 27, hkl 1 1 0
2θ = 33.3°, d = 2.694 Å, rel. 18, hkl 1 1 1
2θ = 78.7°, d = 1.216 Å, rel. 18, hkl 3 2 1

Cell and atoms:
```
data_TaCu2Ni
_symmetry_space_group_name_H-M 'P m m n'
_symmetry_Int_Tables_number 59
_cell_length_a 4.3165
_cell_length_b 5.2525
_cell_length_c 4.5723
_cell_angle_alpha 90.00
_cell_angle_beta 90.00
_cell_angle_gamma 90.00
loop_
_symmetry_equiv_pos_as_xyz
'x,y,z'
'-x,-y,-z'
'-x+1/2,-y+1/2,z'
'x+1/2,y+1/2,-z'
'x+1/2,-y,-z'
'-x+1/2,y,z'
'-x,y+1/2,-z'
'x,-y+1/2,z'
loop_
_atom_site_label
_atom_site_fract_x
_atom_site_fract_y
_atom_site_fract_z
Ta1 0.2500 0.2500 0.1355
Cu1 0.2500 0.5034 0.6454
Ni1 0.2500 0.7500 0.1581
```


[3]
Diffraction record for TlCuTcNi. The powder X-ray diffraction pattern is theoretical, not measured: it uses DFT lattice parameters and positions (GGA-PBE) and Cu Kα (weighted mean of Kα1 and Kα2).
Neutral-atom scattering factors, no anomalous dispersion.

Top 8 peaks for 10° ≤ 2θ ≤ 80°, by intensity:
2θ = 40.8°, d = 2.212 Å, rel. 100, hkl 2 2 0
2θ = 74.2°, d = 1.277 Å, rel. 33, hkl 4 2 2
2θ = 24.6°, d = 3.613 Å, rel. 24, hkl 1 1 1
2θ = 59.0°, d = 1.564 Å, rel. 16, hkl 4 0 0
2θ = 48.2°, d = 1.887 Å, rel. 13, hkl 3 1 1
2θ = 28.5°, d = 3.129 Å, rel. 6, hkl 2 0 0
2θ = 65.0°, d = 1.436 Å, rel. 6, hkl 3 3 1
2θ = 79.6°, d = 1.204 Å, rel. 4, hkl 5 1 1

Cell and atoms:
```
data_TlCuTcNi
_symmetry_space_group_name_H-M 'F -4 3 m'
_symmetry_Int_Tables_number 216
_symmetry_space_group_name_Hall 'F -4 2 3'
_cell_length_a 6.2576
_cell_length_b 6.2576
_cell_length_c 6.2576
_cell_angle_alpha 90.00
_cell_angle_beta 90.00
_cell_angle_gamma 90.00
loop_
_atom_site_label
_atom_site_fract_x
_atom_site_fract_y
_atom_site_fract_z
Tl1 0.0000 0.0000 0.0000
Cu1 0.2500 0.2500 0.2500
Tc1 0.2500 0.2500 0.7500
Ni1 0.0000 0.0000 0.5000
```


[4]
Diffraction record for UCuNi4. The powder X-ray diffraction pattern is theoretical, not measured: it uses DFT lattice parameters and positions (GGA-PBE) and Cu Kα (weighted mean of Kα1 and Kα2).
Neutral-atom scattering factors, no anomalous dispersion.

Top 8 peaks for 10° ≤ 2θ ≤ 80°, by intensity:
2θ = 44.3°, d = 2.047 Å, rel. 100, hkl 3 1 1
2θ = 37.5°, d = 2.400 Å, rel. 55, hkl 2 2 0
2θ = 72.3°, d = 1.306 Å, rel. 31, hkl 5 1 1
2θ = 22.7°, d = 3.919 Å, rel. 26, hkl 1 1 1
2θ = 46.3°, d = 1.960 Å, rel. 21, hkl 2 2 2
2θ = 79.9°, d = 1.200 Å, rel. 20, hkl 4 4 0
2θ = 67.6°, d = 1.386 Å, rel. 20, hkl 4 2 2
2θ = 26.3°, d = 3.394 Å, rel. 20, hkl 2 0 0

Cell and atoms:
```
data_UCuNi4
_symmetry_space_group_name_H-M 'F -4 3 m'
_symmetry_Int_Tables_number 216
_symmetry_space_group_name_Hall 'F -4 2 3'
_cell_length_a 6.7884
_cell_length_b 6.7884
_cell_length_c 6.7884
_cell_angle_alpha 90.00
_cell_angle_beta 90.00
_cell_angle_gamma 90.00
loop_
_atom_site_label
_atom_site_fract_x
_atom_site_fract_y
_atom_site_fract_z
U1 0.0000 0.0000 0.0000
Cu1 0.2500 0.2500 0.7500
Ni1 0.1239 0.1239 0.3761
```


Number 1 is which compound? SmZn3CuNi